Diffraction record for ThCuHg. The XRD peak list is simulated, not measured: it uses a DFT-relaxed cell (GGA-PBE, Alexandria) and Cu Kα.

Structure:
```
ThCuHg
1.0
13.4262 0.0000 0.0000
0.0000 4.0004 0.0000
0.0000 0.0000 7.6147
Th Cu Hg
6 6 6
Cartesian
0.6160 0.0000 1.8283
3.3566 0.0000 6.5059
6.0971 0.0000 1.8283
7.3291 0.0000 5.7864
10.0697 0.0000 1.1088
12.8102 0.0000 5.7864
1.1953 2.0002 7.2256
3.3566 0.0000 3.3889
5.5178 2.0002 7.2256
7.9084 2.0002 0.3891
10.0697 0.0000 4.2258
12.2309 2.0002 0.3891
1.6171 2.0002 4.3923
3.3566 2.0002 1.4472
5.0960 2.0002 4.3923
8.3303 2.0002 3.2224
10.0697 2.0002 6.1675
11.8091 2.0002 3.2224
```

Peak list (10 most intense, 2θ = 10–90°, low angle first)
h k l, Position (°2θ), d_spacing, I/Imax
4 0 1, 29.07, 3.071, 16
3 1 1, 32.23, 2.777, 100
0 1 2, 32.46, 2.758, 27
1 1 2, 33.16, 2.702, 40
4 1 0, 34.89, 2.571, 31
2 1 2, 35.18, 2.551, 35
5 0 1, 35.43, 2.534, 23
4 0 2, 35.66, 2.518, 20
1 0 3, 36.01, 2.494, 16
0 2 0, 45.34, 2.000, 29

---

Diffraction record for Ti4Cu2Hg. The XRD peak list is simulated, not measured: it uses a DFT-relaxed cell (GGA-PBE, Alexandria) and Cu Kα.

Structure:
```
Ti4Cu2Hg
1.0
4.9386 0.0000 0.0000
0.0000 4.9386 0.0000
0.0000 0.0000 12.4865
Ti Cu Hg
8 4 2
Cartesian
0.0000 0.0000 2.6430
0.0000 0.0000 9.8435
0.0000 2.4693 0.0000
0.0000 2.4693 6.2432
2.4693 0.0000 0.0000
2.4693 0.0000 6.2432
2.4693 2.4693 3.6003
2.4693 2.4693 8.8862
0.0000 0.0000 5.0516
0.0000 0.0000 7.4349
2.4693 2.4693 1.1916
2.4693 2.4693 11.2948
0.0000 0.0000 0.0000
2.4693 2.4693 6.2432
```

Peak list (10 most intense, 2θ = 10–90°, low angle first)
h k l, Position (°2θ), d_spacing, I/Imax
0 0 2, 14.19, 6.243, 100
1 0 1, 19.33, 4.592, 33
1 1 0, 25.51, 3.492, 88
1 0 3, 28.04, 3.183, 34
2 0 0, 36.38, 2.469, 85
2 0 2, 39.23, 2.296, 34
1 0 5, 40.48, 2.229, 82
2 2 0, 52.40, 1.746, 29
2 1 5, 55.55, 1.654, 63
3 2 5, 79.87, 1.201, 21

---

Diffraction record for Tl2CuHg2. The XRD peak list is simulated, not measured: it uses a DFT-relaxed cell (GGA-PBE, Alexandria) and Cu Kα.

Structure:
```
Tl2CuHg2
1.0
7.2066 0.0000 0.0000
0.0000 7.2066 0.0000
0.0000 0.0000 5.3773
Tl Cu Hg
4 2 4
Cartesian
1.2331 2.3702 0.0000
2.3702 5.9735 0.0000
4.8364 1.2331 0.0000
5.9735 4.8364 0.0000
0.0000 0.0000 0.0000
3.6033 3.6033 0.0000
1.1555 4.7588 2.6887
2.4478 1.1555 2.6887
4.7588 6.0511 2.6887
6.0511 2.4478 2.6887
```

Peak list (10 most intense, 2θ = 10–90°, low angle first)
h k l, Position (°2θ), d_spacing, I/Imax
2 0 0, 24.71, 3.603, 14
2 1 1, 32.39, 2.764, 100
0 0 2, 33.32, 2.689, 24
3 1 0, 39.54, 2.279, 18
3 1 2, 52.65, 1.738, 16
4 1 1, 55.26, 1.662, 21
2 1 3, 58.96, 1.566, 19
3 3 2, 64.94, 1.436, 10
5 2 1, 72.83, 1.299, 11
4 1 3, 76.06, 1.251, 9

---

Diffraction record for TlCu2Hg. The XRD peak list is simulated, not measured: it uses a DFT-relaxed cell (GGA-PBE, Alexandria) and Cu Kα.

Structure:
```
TlCu2Hg
1.0
12.2363 0.0000 0.0000
0.0000 3.0758 0.0000
-1.4722 0.0000 4.1484
Tl Cu Hg
2 4 2
Cartesian
0.0000 0.0000 0.0000
6.1182 1.5379 0.0000
2.4800 1.5379 0.9274
4.3229 0.0000 1.6865
8.5981 0.0000 0.9274
10.4411 1.5379 1.6865
1.6400 0.0000 2.9653
7.7582 1.5379 2.9653
```

Peak list (10 most intense, 2θ = 10–90°, low angle first)
h k l, Position (°2θ), d_spacing, I/Imax
1 1 0, 30.07, 2.972, 44
2 0 1, 30.47, 2.934, 45
4 0 0, 31.02, 2.883, 61
4 0 -1, 31.31, 2.857, 42
1 1 1, 38.76, 2.323, 100
3 1 -1, 39.22, 2.297, 96
2 0 -2, 41.02, 2.200, 49
5 1 0, 49.39, 1.845, 31
2 0 2, 51.55, 1.773, 25
0 2 0, 60.13, 1.539, 28